Entry 1:
Starting from a structure optimized by DFT (PBE), the X-ray diffraction stick pattern of AcCoH6Pd was computed for copper Kα.
Kinematic intensities with the Lorentz-polarization factor, no thermal factor.

Largest 8 diffraction maxima, low angle first, 15° ≤ 2θ ≤ 90°:
two_theta, intensity, index
21.5, 207, 1 0 0
29.7, 1000, 1 0 1
37.7, 421, 1 1 0
48.7, 257, 2 0 1
57.0, 257, 1 1 2
63.2, 237, 2 1 1
68.0, 169, 3 0 0
80.5, 108, 2 2 0

```
data_AcCoH6Pd
_cell_length_a 4.7723
_cell_length_b 4.7723
_cell_length_c 4.3877
_cell_angle_alpha 90.00
_cell_angle_beta 90.00
_cell_angle_gamma 120.00
_space_group_name_H-M_alt 'P -6 m 2'
_space_group_IT_number 187
_space_group_name_Hall 'P -6 2'
loop_
_atom_site_label
_atom_site_type_symbol
_atom_site_fract_x
_atom_site_fract_y
_atom_site_fract_z
Ac1 Ac 0.0000 0.0000 0.0000
Co1 Co 0.6667 0.3333 0.5000
H1 H 0.5191 0.0382 0.2620
Pd1 Pd 0.3333 0.6667 0.5000
```

=====

Entry 2:
Starting from a structure optimized by DFT (PBE), the X-ray diffraction stick pattern of Dy3Ho3Au4 was computed for copper Kα.
Kinematic intensities with the Lorentz-polarization factor, no thermal factor.

Largest 8 diffraction maxima, low angle first, 15° ≤ 2θ ≤ 90°:
two_theta, intensity, index
32.3, 144, 1 2 2
34.1, 1000, 1 1 3
34.7, 246, 0 4 2
34.8, 243, 0 2 4
48.1, 129, 2 0 0
60.7, 198, 2 4 2
66.4, 94, 1 7 3
66.6, 93, 1 3 7

```
data_Dy3Ho3Au4
_cell_length_a 3.7820
_cell_length_b 11.5677
_cell_length_c 11.5103
_cell_angle_alpha 90.00
_cell_angle_beta 90.00
_cell_angle_gamma 90.00
_space_group_name_H-M_alt 'A m m 2'
_space_group_IT_number 38
loop_
_space_group_symop_operation_xyz
'x,y,z'
'-x,-y,z'
'-x,y,z'
'x,-y,z'
'x,y+1/2,z+1/2'
'-x,-y+1/2,z+1/2'
'-x,y+1/2,z+1/2'
'x,-y+1/2,z+1/2'
loop_
_atom_site_label
_atom_site_type_symbol
_atom_site_fract_x
_atom_site_fract_y
_atom_site_fract_z
Dy1 Dy 0.0000 0.0000 0.0000
Dy2 Dy 0.0000 0.1627 0.3382
Ho1 Ho 0.0000 0.0000 0.6748
Ho2 Ho 0.5000 0.2500 0.0880
Au1 Au 0.5000 0.0000 0.2046
Au2 Au 0.5000 0.0000 0.4718
Au3 Au 0.5000 0.1331 0.8369
```

=====

Entry 3:
Starting from a structure optimized by DFT (PBE), the X-ray diffraction stick pattern of Ge2PdAuI was computed for copper Kα.
Kinematic intensities with the Lorentz-polarization factor, no thermal factor.

Largest 8 diffraction maxima, low angle first, 15° ≤ 2θ ≤ 90°:
two_theta, intensity, index
18.0, 540, 1 0 0
24.5, 741, 1 0 1
25.5, 583, 1 1 0
33.5, 627, 0 0 2
36.4, 1000, 2 0 0
50.3, 791, 2 0 2
52.5, 349, 2 2 0
63.7, 387, 2 2 2

```
data_Ge2PdAuI
_cell_length_a 4.9336
_cell_length_b 4.9336
_cell_length_c 5.3483
_cell_angle_alpha 90.00
_cell_angle_beta 90.00
_cell_angle_gamma 90.00
_space_group_name_H-M_alt 'P 4/m m m'
_space_group_IT_number 123
_space_group_name_Hall '-P 4 2'
loop_
_atom_site_label
_atom_site_type_symbol
_atom_site_fract_x
_atom_site_fract_y
_atom_site_fract_z
Ge1 Ge 0.0000 0.5000 0.0000
Pd1 Pd 0.0000 0.0000 0.5000
Au1 Au 0.0000 0.0000 0.0000
I1 I 0.5000 0.5000 0.5000
```

=====

Entry 4:
Starting from a structure optimized by DFT (PBE), the X-ray diffraction stick pattern of CsAl4S7 was computed for copper Kα.
Kinematic intensities with the Lorentz-polarization factor, no thermal factor.

Largest 8 diffraction maxima, low angle first, 15° ≤ 2θ ≤ 90°:
two_theta, intensity, index
22.7, 352, 3 0 1
23.1, 772, 2 1 1
26.9, 462, 4 1 0
27.3, 457, 0 2 0
29.4, 698, 0 0 2
30.7, 1000, 4 1 1
48.0, 385, 4 3 0
52.9, 369, 4 1 3

```
data_CsAl4S7
_cell_length_a 15.3648
_cell_length_b 6.5414
_cell_length_c 6.0848
_cell_angle_alpha 90.00
_cell_angle_beta 90.00
_cell_angle_gamma 90.00
_space_group_name_H-M_alt 'P m n 21'
_space_group_IT_number 31
loop_
_space_group_symop_operation_xyz
'x,y,z'
'-x+1/2,-y,z+1/2'
'-x,y,z'
'x+1/2,-y,z+1/2'
loop_
_atom_site_label
_atom_site_type_symbol
_atom_site_fract_x
_atom_site_fract_y
_atom_site_fract_z
Cs1 Cs 0.0000 0.1973 0.0000
Al1 Al 0.1242 0.6669 0.5886
Al2 Al 0.2490 0.1803 0.5685
S1 S 0.0000 0.8245 0.4757
S2 S 0.1227 0.6983 0.9568
S3 S 0.1265 0.3414 0.4765
S4 S 0.2430 0.8442 0.4500
```

=====

Entry 5:
Starting from a structure optimized by DFT (PBE), the X-ray diffraction stick pattern of ZrInAu was computed for copper Kα.
Kinematic intensities with the Lorentz-polarization factor, no thermal factor.

Largest 8 diffraction maxima, low angle first, 15° ≤ 2θ ≤ 90°:
two_theta, intensity, index
35.8, 1000, 1 0 3
39.2, 392, 1 1 0
46.0, 120, 0 0 6
56.7, 132, 2 0 0
62.0, 196, 1 1 6
68.9, 292, 2 1 3
75.9, 109, 2 0 6
78.5, 97, 1 0 9

```
data_ZrInAu
_cell_length_a 3.2488
_cell_length_b 3.2488
_cell_length_c 11.8323
_cell_angle_alpha 90.00
_cell_angle_beta 90.00
_cell_angle_gamma 90.00
_space_group_name_H-M_alt 'I 4 m m'
_space_group_IT_number 107
_space_group_name_Hall 'I 4 -2'
loop_
_atom_site_label
_atom_site_type_symbol
_atom_site_fract_x
_atom_site_fract_y
_atom_site_fract_z
Zr1 Zr 0.0000 0.0000 0.0000
In1 In 0.0000 0.0000 0.3216
Au1 Au 0.0000 0.0000 0.6575
```